For RbNiTeAuSe2, a crystal structure in OQMD, relaxed with PBE gives the calculated powder X-ray diffraction pattern in this record (a wavelength of 1.5418 Å).
No peak broadening, texture or thermal motion is included.

Structure:
abc: 3.6178 17.2636 10.5886
angles: 90.00 90.00 90.00
Space group Cmcm (No. 63)
Inequivalent atoms, fractional coordinates:
Rb 0.0000 0.2306 0.2500
Ni 0.0000 0.5000 0.0000
Te 0.0000 0.4522 0.7500
Au 0.0000 0.1033 0.7500
Se 0.0000 0.0942 0.5167

Principal peaks in the range 15 to 90 degrees two-theta, by angle:
Position (°2θ)	d/Å	I/Imax
16.7	5.294	24
29.2	3.063	30
30.4	2.942	100
32.2	2.777	31
33.9	2.647	54
36.0	2.498	33
38.9	2.313	35
45.3	2.003	18
50.2	1.817	25
52.5	1.742	29
57.1	1.614	18
62.2	1.493	17